Diffraction record for CaPr6Nd8. The X-ray powder pattern is simulated, not measured: it uses a crystal structure in Alexandria, relaxed with GGA-PBE and Cu Kα X-rays.
Intensities are scaled so that the largest is 100.

Largest 8 diffraction maxima, low angle first, 10° ≤ 2θ ≤ 90°:
28.70°, 3.111 Å, I 31; 28.94°, 3.085 Å, I 100; 33.47°, 2.677 Å, I 65; 33.96°, 2.640 Å, I 13; 47.91°, 1.899 Å, I 18; 48.22°, 1.887 Å, I 17; 57.08°, 1.614 Å, I 14; 57.24°, 1.609 Å, I 14

a = 9.9868 Å, b = 9.9868 Å, c = 18.6630 Å
α = 90.00°, β = 90.00°, γ = 120.00°
Space group R-3 (No. 148, hexagonal axes)
Symmetry-distinct sites (fractional):
Ca 0.0000 0.0000 0.0000 [3 per cell]
Pr 0.0219 0.2367 0.4060 [18 per cell]
Nd 0.0000 0.0000 0.2310 [6 per cell]
Nd 0.0451 0.2834 0.9012 [18 per cell]